Record 1
AcLaTe2Se: theoretical powder diffraction line list (a wavelength of 1.5418 Å), based on a cell relaxed with GGA-PBE.

Main lines, by intensity (10 to 90 degrees two-theta):
d (Å)  2θ/deg  I/Imax
3.296  27.05  100
2.570  34.91  80
2.330  38.64  71
3.549  25.09  51
2.360  38.14  43
4.053  21.93  34
1.658  55.41  30
4.105  21.65  29
2.824  31.69  26
1.474  63.08  24
1.387  67.52  24
1.648  55.78  23

Structural model:
Cell: 4.661 4.661 16.418 Å, 90.00 90.00 90.00°
Fractional coordinates of all 10 atoms:
Ac (0.250, 0.250, 0.122)
Ac (0.750, 0.750, 0.878)
La (0.250, 0.250, 0.606)
La (0.750, 0.750, 0.394)
Te (0.250, 0.250, 0.403)
Te (0.250, 0.250, 0.795)
Te (0.750, 0.750, 0.205)
Te (0.750, 0.750, 0.597)
Se (0.250, 0.750, 0.000)
Se (0.750, 0.250, 0.000)


Record 2
Ba2LiUS4: theoretical powder diffraction line list (a wavelength of 1.5418 Å), based on a cell relaxed with GGA-PBE.

Main lines, by intensity (10 to 90 degrees two-theta):
d (Å)  2θ/deg  I/Imax
2.996  29.82  100
2.129  42.47  52
2.979  29.99  49
3.445  25.86  47
6.848  12.93  46
2.096  43.17  36
5.958  14.87  32
3.500  25.45  26
1.798  50.79  26
3.424  26.02  23
3.615  24.63  20
1.722  53.18  19

Structural model:
Cell: 7.242 4.222 7.402 Å, 90.00 108.97 90.00°
Fractional coordinates of all 8 atoms:
Ba (0.000, 0.000, 0.000)
Ba (0.500, 0.500, 0.000)
Li (0.000, 0.500, 0.500)
U (0.500, 0.000, 0.500)
S (0.249, 0.000, 0.711)
S (0.269, 0.500, 0.289)
S (0.731, 0.500, 0.711)
S (0.751, 0.000, 0.289)